1.
Computed powder XRD pattern of Fe7S8 for Cu Kα (λ = 1.5418 Å), from a GGA-PBE-relaxed structure.
Intensities are scaled so that the largest is 100.

Crystal structure
```
data_Fe7S8
_symmetry_space_group_name_H-M 'P 1'
_symmetry_Int_Tables_number 1
_symmetry_space_group_name_Hall 'P 1'
_cell_length_a 6.5696
_cell_length_b 6.5696
_cell_length_c 15.4930
_cell_angle_alpha 90.00
_cell_angle_beta 90.00
_cell_angle_gamma 120.00
loop_
_atom_site_label
_atom_site_fract_x
_atom_site_fract_y
_atom_site_fract_z
_atom_site_occupancy
Fe1 0.0000 0.0185 0.1667 1
Fe2 0.0000 0.0835 0.6667 1
Fe3 0.0000 0.4394 0.1667 1
Fe4 0.0152 0.5902 0.8131 1
Fe5 0.0185 0.0000 0.8333 1
Fe6 0.0518 0.5347 0.3478 1
Fe7 0.0835 0.0000 0.3333 1
Fe8 0.4098 0.4250 0.1464 1
Fe9 0.4250 0.4098 0.8536 1
Fe10 0.4394 0.0000 0.8333 1
Fe11 0.4653 0.5171 0.6811 1
Fe12 0.4829 0.9482 0.0144 1
Fe13 0.5171 0.4653 0.3189 1
Fe14 0.5347 0.0518 0.6522 1
Fe15 0.5606 0.5606 0.5000 1
Fe16 0.5750 0.9848 0.4797 1
Fe17 0.5902 0.0152 0.1869 1
Fe18 0.9165 0.9165 0.0000 1
Fe19 0.9482 0.4829 0.9856 1
Fe20 0.9815 0.9815 0.5000 1
Fe21 0.9848 0.5750 0.5203 1
S1 0.1183 0.2923 0.0638 1
S2 0.1350 0.7893 0.0813 1
S3 0.1485 0.3651 0.7611 1
S4 0.1741 0.8817 0.7305 1
S5 0.2107 0.3457 0.4147 1
S6 0.2166 0.8515 0.4278 1
S7 0.2923 0.1183 0.9362 1
S8 0.2982 0.6480 0.9132 1
S9 0.3457 0.2107 0.5853 1
S10 0.3498 0.7018 0.5798 1
S11 0.3520 0.6502 0.2465 1
S12 0.3651 0.1485 0.2389 1
S13 0.6349 0.7834 0.0945 1
S14 0.6480 0.2982 0.0868 1
S15 0.6502 0.3520 0.7535 1
S16 0.6543 0.8650 0.7480 1
S17 0.7018 0.3498 0.4202 1
S18 0.7077 0.8259 0.3971 1
S19 0.7834 0.6349 0.9055 1
S20 0.7893 0.1350 0.9187 1
S21 0.8259 0.7077 0.6029 1
S22 0.8515 0.2166 0.5722 1
S23 0.8650 0.6543 0.2520 1
S24 0.8817 0.1741 0.2695 1
```

Principal peaks in the range 2θ = 5–70°, sorted by position:
| 2θ (°) | I (rel.) |
| --- | --- |
| 19.36 | 20 |
| 31.45 | 46 |
| 32.91 | 15 |
| 36.05 | 64 |
| 40.00 | 20 |
| 43.69 | 17 |
| 47.56 | 100 |
| 48.41 | 22 |
| 55.99 | 29 |
| 56.33 | 22 |



2.
Computed powder XRD pattern of FeS3 for Cu Kα (λ = 1.5418 Å), from a GGA-PBE-relaxed structure.
Intensities are scaled so that the largest is 100.

Crystal structure
```
data_FeS3
_symmetry_space_group_name_H-M 'P 1'
_symmetry_Int_Tables_number 1
_symmetry_space_group_name_Hall 'P 1'
_cell_length_a 7.3568
_cell_length_b 7.3568
_cell_length_c 7.3568
_cell_angle_alpha 153.92
_cell_angle_beta 153.92
_cell_angle_gamma 37.21
loop_
_atom_site_label
_atom_site_fract_x
_atom_site_fract_y
_atom_site_fract_z
_atom_site_occupancy
Fe1 0.0000 0.0000 0.0000 1
S1 0.2500 0.7500 0.5000 1
S2 0.5000 0.5000 0.0000 1
S3 0.7500 0.2500 0.5000 1
```

Principal peaks in the range 2θ = 5–70°, sorted by position:
| 2θ (°) | I (rel.) |
| --- | --- |
| 12.70 | 10 |
| 25.55 | 97 |
| 27.62 | 8 |
| 33.16 | 5 |
| 40.55 | 100 |
| 42.33 | 3 |
| 52.50 | 11 |
| 55.35 | 18 |
| 55.65 | 36 |
| 61.92 | 26 |



3.
Computed powder XRD pattern of Fe3S4 for Cu Kα (λ = 1.5418 Å), from a GGA-PBE-relaxed structure.
Intensities are scaled so that the largest is 100.

Crystal structure
```
data_Fe3S4
_symmetry_space_group_name_H-M 'P 1'
_symmetry_Int_Tables_number 1
_symmetry_space_group_name_Hall 'P 1'
_cell_length_a 8.1899
_cell_length_b 8.1899
_cell_length_c 8.1899
_cell_angle_alpha 112.08
_cell_angle_beta 112.08
_cell_angle_gamma 112.08
loop_
_atom_site_label
_atom_site_fract_x
_atom_site_fract_y
_atom_site_fract_z
_atom_site_occupancy
Fe1 0.0240 0.0881 0.8879 1
Fe2 0.0881 0.8879 0.0240 1
Fe3 0.2001 0.4185 0.2692 1
Fe4 0.2692 0.2001 0.4185 1
Fe5 0.4185 0.2692 0.2001 1
Fe6 0.6100 0.8290 0.6810 1
Fe7 0.6810 0.6100 0.8290 1
Fe8 0.8290 0.6810 0.6100 1
Fe9 0.8879 0.0241 0.0881 1
S1 0.0565 0.3090 0.4213 1
S2 0.2068 0.9560 0.8383 1
S3 0.3065 0.7476 0.4491 1
S4 0.3090 0.4213 0.0565 1
S5 0.4213 0.0565 0.3090 1
S6 0.4491 0.3065 0.7476 1
S7 0.5314 0.7772 0.8959 1
S8 0.7476 0.4491 0.3065 1
S9 0.7772 0.8959 0.5314 1
S10 0.8383 0.2068 0.9560 1
S11 0.8959 0.5314 0.7772 1
S12 0.9560 0.8383 0.2068 1
```

Principal peaks in the range 2θ = 5–70°, sorted by position:
| 2θ (°) | I (rel.) |
| --- | --- |
| 13.03 | 100 |
| 26.26 | 12 |
| 34.95 | 12 |
| 38.19 | 6 |
| 40.52 | 10 |
| 42.12 | 8 |
| 48.35 | 23 |
| 50.31 | 9 |
| 52.35 | 7 |
| 54.04 | 10 |



4.
Computed powder XRD pattern of FeS for Cu Kα (λ = 1.5418 Å), from a GGA-PBE-relaxed structure.
Intensities are scaled so that the largest is 100.

Crystal structure
```
data_FeS
_symmetry_space_group_name_H-M 'P 1'
_symmetry_Int_Tables_number 1
_symmetry_space_group_name_Hall 'P 1'
_cell_length_a 3.4096
_cell_length_b 3.4096
_cell_length_c 5.9861
_cell_angle_alpha 90.00
_cell_angle_beta 90.00
_cell_angle_gamma 120.00
loop_
_atom_site_label
_atom_site_fract_x
_atom_site_fract_y
_atom_site_fract_z
_atom_site_occupancy
Fe1 0.3333 0.6667 0.0000 1
Fe2 0.6667 0.3333 0.5000 1
S1 0.3333 0.6667 0.3641 1
S2 0.6667 0.3333 0.8641 1
```

Principal peaks in the range 2θ = 5–70°, sorted by position:
| 2θ (°) | I (rel.) |
| --- | --- |
| 29.85 | 63 |
| 30.27 | 96 |
| 33.85 | 100 |
| 43.03 | 33 |
| 53.77 | 66 |
| 55.59 | 83 |
| 62.01 | 1 |
| 62.72 | 39 |
| 62.95 | 10 |
| 65.07 | 13 |



5.
Computed powder XRD pattern of FeS13 for Cu Kα (λ = 1.5418 Å), from a GGA-PBE-relaxed structure.
Intensities are scaled so that the largest is 100.

Crystal structure
```
data_FeS13
_symmetry_space_group_name_H-M 'P 1'
_symmetry_Int_Tables_number 1
_symmetry_space_group_name_Hall 'P 1'
_cell_length_a 10.1340
_cell_length_b 10.1340
_cell_length_c 4.4268
_cell_angle_alpha 90.38
_cell_angle_beta 90.38
_cell_angle_gamma 46.82
loop_
_atom_site_label
_atom_site_fract_x
_atom_site_fract_y
_atom_site_fract_z
_atom_site_occupancy
Fe1 0.0000 0.0000 0.0000 1
S1 0.0000 0.0000 0.5000 1
S2 0.0285 0.6356 0.7526 1
S3 0.1249 0.7014 0.0564 1
S4 0.2318 0.2318 0.0973 1
S5 0.2986 0.8751 0.9436 1
S6 0.3644 0.9715 0.2474 1
S7 0.4511 0.4511 0.4370 1
S8 0.5489 0.5489 0.5630 1
S9 0.6356 0.0285 0.7526 1
S10 0.7014 0.1249 0.0564 1
S11 0.7682 0.7682 0.9027 1
S12 0.8751 0.2986 0.9436 1
S13 0.9715 0.3644 0.2474 1
```

Principal peaks in the range 2θ = 5–70°, sorted by position:
| 2θ (°) | I (rel.) |
| --- | --- |
| 9.51 | 48 |
| 11.98 | 76 |
| 20.06 | 35 |
| 23.40 | 86 |
| 27.72 | 33 |
| 29.34 | 100 |
| 31.51 | 38 |
| 35.72 | 27 |
| 45.03 | 43 |
| 46.41 | 25 |



6.
Computed powder XRD pattern of Fe3S4 for Cu Kα (λ = 1.5418 Å), from a GGA-PBE-relaxed structure.
Intensities are scaled so that the largest is 100.

Crystal structure
```
data_Fe3S4
_symmetry_space_group_name_H-M 'P 1'
_symmetry_Int_Tables_number 1
_symmetry_space_group_name_Hall 'P 1'
_cell_length_a 6.6653
_cell_length_b 6.6653
_cell_length_c 9.4268
_cell_angle_alpha 90.00
_cell_angle_beta 90.00
_cell_angle_gamma 90.00
loop_
_atom_site_label
_atom_site_fract_x
_atom_site_fract_y
_atom_site_fract_z
_atom_site_occupancy
Fe1 0.0000 0.2468 0.0000 1
Fe2 0.0000 0.7532 0.5000 1
Fe3 0.2468 0.0000 0.7500 1
Fe4 0.2467 0.5000 0.7500 1
Fe5 0.2527 0.2527 0.3750 1
Fe6 0.2527 0.7473 0.1250 1
Fe7 0.5000 0.2467 0.0000 1
Fe8 0.5000 0.7533 0.5000 1
Fe9 0.7473 0.2527 0.6250 1
Fe10 0.7473 0.7473 0.8750 1
Fe11 0.7532 0.0000 0.2500 1
Fe12 0.7533 0.5000 0.2500 1
S1 0.0075 0.2505 0.7544 1
S2 0.0075 0.7495 0.7456 1
S3 0.2505 0.0075 0.9956 1
S4 0.2505 0.4877 0.9944 1
S5 0.2505 0.5123 0.5056 1
S6 0.2505 0.9925 0.5044 1
S7 0.4877 0.2505 0.7556 1
S8 0.4877 0.7495 0.7444 1
S9 0.5123 0.2505 0.2444 1
S10 0.5123 0.7495 0.2556 1
S11 0.7495 0.0075 0.0044 1
S12 0.7495 0.4877 0.0056 1
S13 0.7495 0.5123 0.4944 1
S14 0.7495 0.9925 0.4956 1
S15 0.9925 0.2505 0.2456 1
S16 0.9925 0.7495 0.2544 1
```

Principal peaks in the range 2θ = 5–70°, sorted by position:
| 2θ (°) | I (rel.) |
| --- | --- |
| 16.29 | 10 |
| 26.75 | 28 |
| 31.48 | 100 |
| 38.19 | 52 |
| 47.24 | 11 |
| 50.30 | 39 |
| 55.11 | 86 |
| 62.29 | 4 |
| 64.86 | 11 |
| 69.03 | 10 |



7.
Computed powder XRD pattern of Fe3S4 for Cu Kα (λ = 1.5418 Å), from a GGA-PBE-relaxed structure.
Intensities are scaled so that the largest is 100.

Crystal structure
```
data_Fe3S4
_symmetry_space_group_name_H-M 'P 1'
_symmetry_Int_Tables_number 1
_symmetry_space_group_name_Hall 'P 1'
_cell_length_a 7.1652
_cell_length_b 7.1652
_cell_length_c 7.1652
_cell_angle_alpha 112.77
_cell_angle_beta 110.42
_cell_angle_gamma 105.31
loop_
_atom_site_label
_atom_site_fract_x
_atom_site_fract_y
_atom_site_fract_z
_atom_site_occupancy
Fe1 0.1215 0.7500 0.8715 1
Fe2 0.1383 0.3883 0.7500 1
Fe3 0.2500 0.1237 0.8737 1
Fe4 0.3617 0.1117 0.2500 1
Fe5 0.3785 0.2500 0.6285 1
Fe6 0.7500 0.3763 0.6263 1
S1 0.0081 0.5211 0.9823 1
S2 0.0245 0.0213 0.9911 1
S3 0.0389 0.0258 0.5177 1
S4 0.4611 0.9789 0.9870 1
S5 0.4755 0.4666 0.9968 1
S6 0.4919 0.4742 0.5130 1
S7 0.5302 0.0334 0.5089 1
S8 0.9698 0.4787 0.5032 1
```

Principal peaks in the range 2θ = 5–70°, sorted by position:
| 2θ (°) | I (rel.) |
| --- | --- |
| 14.87 | 100 |
| 15.12 | 92 |
| 15.56 | 89 |
| 25.79 | 20 |
| 26.59 | 21 |
| 27.01 | 19 |
| 41.51 | 40 |
| 53.01 | 17 |
| 54.75 | 22 |
| 55.68 | 18 |



8.
Computed powder XRD pattern of Fe2Sn8S for Cu Kα (λ = 1.5418 Å), from a GGA-PBE-relaxed structure.
Intensities are scaled so that the largest is 100.

Crystal structure
```
data_Fe2Sn8S
_symmetry_space_group_name_H-M 'P 1'
_symmetry_Int_Tables_number 1
_symmetry_space_group_name_Hall 'P 1'
_cell_length_a 10.1278
_cell_length_b 10.1278
_cell_length_c 9.9193
_cell_angle_alpha 90.00
_cell_angle_beta 90.00
_cell_angle_gamma 90.00
loop_
_atom_site_label
_atom_site_fract_x
_atom_site_fract_y
_atom_site_fract_z
_atom_site_occupancy
Fe1 0.1939 0.1939 0.2383 1
Fe2 0.1939 0.1939 0.7617 1
Fe3 0.3061 0.6939 0.2617 1
Fe4 0.3061 0.6939 0.7383 1
Fe5 0.6939 0.3061 0.2617 1
Fe6 0.6939 0.3061 0.7383 1
Fe7 0.8061 0.8061 0.2383 1
Fe8 0.8061 0.8061 0.7617 1
Sn1 0.0000 0.0000 0.3298 1
Sn2 0.0000 0.0000 0.6702 1
Sn3 0.0487 0.7005 0.1886 1
Sn4 0.0487 0.7005 0.8114 1
Sn5 0.0986 0.0986 0.0000 1
Sn6 0.1878 0.1878 0.5000 1
Sn7 0.1920 0.8080 0.5000 1
Sn8 0.2005 0.4513 0.3114 1
Sn9 0.2005 0.4513 0.6886 1
Sn10 0.2995 0.9513 0.1886 1
Sn11 0.2995 0.9513 0.8114 1
Sn12 0.3080 0.3080 0.0000 1
Sn13 0.3122 0.6878 0.0000 1
Sn14 0.4014 0.5986 0.5000 1
Sn15 0.4513 0.2005 0.3114 1
Sn16 0.4513 0.2005 0.6886 1
Sn17 0.5000 0.5000 0.1702 1
Sn18 0.5000 0.5000 0.8298 1
Sn19 0.5487 0.7995 0.3114 1
Sn20 0.5487 0.7995 0.6886 1
Sn21 0.5986 0.4014 0.5000 1
Sn22 0.6878 0.3122 0.0000 1
Sn23 0.6920 0.6920 0.0000 1
Sn24 0.7005 0.0487 0.1886 1
Sn25 0.7005 0.0487 0.8114 1
Sn26 0.7995 0.5487 0.3114 1
Sn27 0.7995 0.5487 0.6886 1
Sn28 0.8080 0.1920 0.5000 1
Sn29 0.8122 0.8122 0.5000 1
Sn30 0.9014 0.9014 0.0000 1
Sn31 0.9513 0.2995 0.1886 1
Sn32 0.9513 0.2995 0.8114 1
S1 0.0000 0.5000 0.0000 1
S2 0.0000 0.5000 0.5000 1
S3 0.5000 0.0000 0.0000 1
S4 0.5000 0.0000 0.5000 1
```

Principal peaks in the range 2θ = 5–70°, sorted by position:
| 2θ (°) | I (rel.) |
| --- | --- |
| 27.91 | 27 |
| 30.80 | 23 |
| 33.15 | 22 |
| 33.30 | 37 |
| 33.56 | 100 |
| 36.58 | 24 |
| 37.69 | 40 |
| 41.00 | 36 |
| 45.71 | 27 |
| 56.27 | 24 |



9.
Computed powder XRD pattern of FeSn10S10 for Cu Kα (λ = 1.5418 Å), from a GGA-PBE-relaxed structure.
Intensities are scaled so that the largest is 100.

Crystal structure
```
data_FeSn10S10
_symmetry_space_group_name_H-M 'P 1'
_symmetry_Int_Tables_number 1
_symmetry_space_group_name_Hall 'P 1'
_cell_length_a 11.2204
_cell_length_b 12.4814
_cell_length_c 7.8541
_cell_angle_alpha 90.00
_cell_angle_beta 90.00
_cell_angle_gamma 90.00
loop_
_atom_site_label
_atom_site_fract_x
_atom_site_fract_y
_atom_site_fract_z
_atom_site_occupancy
Fe1 0.0000 0.0000 0.0000 1
Fe2 0.5000 0.5000 0.0000 1
Sn1 0.0000 0.5000 0.2375 1
Sn2 0.0000 0.5000 0.7625 1
Sn3 0.1152 0.0965 0.2440 1
Sn4 0.1152 0.0965 0.7560 1
Sn5 0.1605 0.8492 0.0000 1
Sn6 0.1925 0.7810 0.5000 1
Sn7 0.3075 0.2810 0.5000 1
Sn8 0.3395 0.3492 0.0000 1
Sn9 0.3848 0.5965 0.2440 1
Sn10 0.3848 0.5965 0.7560 1
Sn11 0.5000 0.0000 0.2375 1
Sn12 0.5000 0.0000 0.7625 1
Sn13 0.6152 0.4035 0.2440 1
Sn14 0.6152 0.4035 0.7560 1
Sn15 0.6605 0.6508 0.0000 1
Sn16 0.6925 0.7190 0.5000 1
Sn17 0.8075 0.2190 0.5000 1
Sn18 0.8395 0.1508 0.0000 1
Sn19 0.8848 0.9035 0.2440 1
Sn20 0.8848 0.9035 0.7560 1
S1 0.0462 0.2234 0.5000 1
S2 0.1079 0.3810 0.0000 1
S3 0.1725 0.6782 0.2016 1
S4 0.1725 0.6782 0.7984 1
S5 0.2164 0.0009 0.5000 1
S6 0.2836 0.5009 0.5000 1
S7 0.3275 0.1782 0.2016 1
S8 0.3275 0.1782 0.7984 1
S9 0.3921 0.8810 0.0000 1
S10 0.4538 0.7234 0.5000 1
S11 0.5462 0.2766 0.5000 1
S12 0.6079 0.1190 0.0000 1
S13 0.6725 0.8218 0.2016 1
S14 0.6725 0.8218 0.7984 1
S15 0.7164 0.4991 0.5000 1
S16 0.7836 0.9991 0.5000 1
S17 0.8275 0.3218 0.2016 1
S18 0.8275 0.3218 0.7984 1
S19 0.8921 0.6190 0.0000 1
S20 0.9538 0.7766 0.5000 1
```

Principal peaks in the range 2θ = 5–70°, sorted by position:
| 2θ (°) | I (rel.) |
| --- | --- |
| 21.30 | 42 |
| 24.85 | 40 |
| 26.68 | 39 |
| 26.82 | 37 |
| 27.76 | 33 |
| 28.00 | 100 |
| 28.65 | 38 |
| 39.71 | 30 |
| 43.72 | 48 |
| 47.21 | 39 |



10.
Computed powder XRD pattern of Ta9Fe2S6 for Cu Kα (λ = 1.5418 Å), from a GGA-PBE-relaxed structure.
Intensities are scaled so that the largest is 100.

Crystal structure
```
data_Ta9Fe2S6
_symmetry_space_group_name_H-M 'P 1'
_symmetry_Int_Tables_number 1
_symmetry_space_group_name_Hall 'P 1'
_cell_length_a 10.3856
_cell_length_b 10.3856
_cell_length_c 6.5960
_cell_angle_alpha 90.00
_cell_angle_beta 90.00
_cell_angle_gamma 120.00
loop_
_atom_site_label
_atom_site_fract_x
_atom_site_fract_y
_atom_site_fract_z
_atom_site_occupancy
Ta1 0.0000 0.4586 0.2462 1
Ta2 0.0000 0.4586 0.7538 1
Ta3 0.1910 0.7352 0.5000 1
Ta4 0.2156 0.7431 0.0000 1
Ta5 0.2569 0.4724 0.0000 1
Ta6 0.2648 0.4559 0.5000 1
Ta7 0.4559 0.2648 0.5000 1
Ta8 0.4586 0.0000 0.2462 1
Ta9 0.4586 0.0000 0.7538 1
Ta10 0.4724 0.2569 0.0000 1
Ta11 0.5276 0.7844 0.0000 1
Ta12 0.5414 0.5414 0.2462 1
Ta13 0.5414 0.5414 0.7538 1
Ta14 0.5441 0.8090 0.5000 1
Ta15 0.7352 0.1910 0.5000 1
Ta16 0.7431 0.2156 0.0000 1
Ta17 0.7844 0.5276 0.0000 1
Ta18 0.8090 0.5441 0.5000 1
Fe1 0.3333 0.6667 0.2824 1
Fe2 0.3333 0.6667 0.7176 1
Fe3 0.6667 0.3333 0.2824 1
Fe4 0.6667 0.3333 0.7176 1
S1 0.0000 0.2747 0.0000 1
S2 0.0000 0.2768 0.5000 1
S3 0.0000 0.7020 0.2345 1
S4 0.0000 0.7020 0.7655 1
S5 0.2747 0.0000 0.0000 1
S6 0.2768 0.0000 0.5000 1
S7 0.2980 0.2980 0.2345 1
S8 0.2980 0.2980 0.7655 1
S9 0.7020 0.0000 0.2345 1
S10 0.7020 0.0000 0.7655 1
S11 0.7232 0.7232 0.5000 1
S12 0.7253 0.7253 0.0000 1
```

Principal peaks in the range 2θ = 5–70°, sorted by position:
| 2θ (°) | I (rel.) |
| --- | --- |
| 9.83 | 100 |
| 33.70 | 33 |
| 36.00 | 31 |
| 38.01 | 51 |
| 40.10 | 22 |
| 40.67 | 9 |
| 44.41 | 21 |
| 60.40 | 8 |
| 64.20 | 11 |
| 68.17 | 10 |